[1]
Starting from DFT lattice parameters and positions (GGA-PBE), the powder X-ray diffraction pattern of Be2CuSb was calculated for a wavelength of 1.5418 Å.

Structure:
abc: 7.3208 3.7148 4.3732
angles: 90.00 102.77 90.00
Positions (direct):
Be (0.0000, 0.0000, 0.0000)
Be (0.2085, 0.5000, 0.0650)
Be (0.5000, 0.5000, 0.0000)
Be (0.7085, 0.0000, 0.0650)
Cu (0.2655, 0.0000, 0.8152)
Cu (0.7655, 0.5000, 0.8152)
Sb (0.9995, 0.5000, 0.4424)
Sb (0.4995, 0.0000, 0.4424)

Most intense lines, 10° ≤ 2θ ≤ 90°, in order of falling intensity:
two_theta  Rel. int.
27.06  1000
36.10  804
28.85  596
46.33  460
36.21  406
48.42  381
20.83  270
49.04  203
32.60  191
44.41  169
51.18  166
57.90  160


[2]
Starting from DFT lattice parameters and positions (GGA-PBE), the powder X-ray diffraction pattern of Sc2Be5Cu5 was calculated for a wavelength of 1.5418 Å.

Structure:
abc: 3.8313 4.5941 8.3223
angles: 90.00 90.00 90.00
Positions (direct):
Sc (0.0000, 0.0000, 0.0000)
Sc (0.0000, 0.5000, 0.5000)
Be (0.5000, 0.0000, 0.5000)
Be (0.5000, 0.2489, 0.2552)
Be (0.5000, 0.2489, 0.7448)
Be (0.5000, 0.7511, 0.2552)
Be (0.5000, 0.7511, 0.7448)
Cu (0.0000, 0.0000, 0.3340)
Cu (0.0000, 0.0000, 0.6660)
Cu (0.0000, 0.5000, 0.1819)
Cu (0.0000, 0.5000, 0.8181)
Cu (0.5000, 0.5000, 0.0000)

Most intense lines, 10° ≤ 2θ ≤ 90°, in order of falling intensity:
two_theta  Rel. int.
44.91  1000
23.22  555
37.89  356
39.22  346
47.46  265
46.07  240
22.10  223
75.07  191
63.20  152
62.27  148
86.53  129
31.75  103


[3]
Starting from DFT lattice parameters and positions (GGA-PBE), the powder X-ray diffraction pattern of ScBeCu was calculated for a wavelength of 1.5418 Å.

Structure:
abc: 3.0142 3.0142 9.4217
angles: 90.00 90.00 90.00
Positions (direct):
Sc (0.0000, 0.0000, 0.0000)
Sc (0.5000, 0.5000, 0.5000)
Be (0.0000, 0.0000, 0.6936)
Be (0.5000, 0.5000, 0.1936)
Cu (0.0000, 0.0000, 0.2991)
Cu (0.5000, 0.5000, 0.7991)

Most intense lines, 10° ≤ 2θ ≤ 90°, in order of falling intensity:
two_theta  Rel. int.
41.53  1000
31.15  736
42.41  536
76.98  279
18.84  230
58.39  221
38.21  210
61.53  162
77.70  133
70.58  118
74.79  98
75.15  98


[4]
Starting from DFT lattice parameters and positions (GGA-PBE), the powder X-ray diffraction pattern of YScBeCu was calculated for a wavelength of 1.5418 Å.

Structure:
abc: 6.6903 6.6903 6.6903
angles: 90.00 90.00 90.00
Positions (direct):
Y (0.0000, 0.0000, 0.0000)
Y (0.0000, 0.5000, 0.5000)
Y (0.5000, 0.0000, 0.5000)
Y (0.5000, 0.5000, 0.0000)
Sc (0.0000, 0.0000, 0.5000)
Sc (0.0000, 0.5000, 0.0000)
Sc (0.5000, 0.0000, 0.0000)
Sc (0.5000, 0.5000, 0.5000)
Be (0.2500, 0.2500, 0.7500)
Be (0.2500, 0.7500, 0.2500)
Be (0.7500, 0.2500, 0.2500)
Be (0.7500, 0.7500, 0.7500)
Cu (0.2500, 0.2500, 0.2500)
Cu (0.2500, 0.7500, 0.7500)
Cu (0.7500, 0.2500, 0.7500)
Cu (0.7500, 0.7500, 0.2500)

Most intense lines, 10° ≤ 2θ ≤ 90°, in order of falling intensity:
two_theta  Rel. int.
38.04  1000
23.03  335
68.74  317
44.94  173
54.89  163
26.65  108
81.36  97
60.30  69
73.56  49
85.95  49
62.04  36
47.05  28


[5]
Starting from DFT lattice parameters and positions (GGA-PBE), the powder X-ray diffraction pattern of ScBeZn6Cu was calculated for a wavelength of 1.5418 Å.

Structure:
abc: 7.4515 7.4515 7.4515
angles: 128.01 112.04 90.51
Positions (direct):
Sc (0.4515, 0.2015, 0.2500)
Sc (0.5485, 0.7985, 0.7500)
Be (0.0000, 0.0000, 0.0000)
Be (0.5000, 0.0000, 0.5000)
Zn (0.1397, 0.4248, 0.3098)
Zn (0.1397, 0.8299, 0.7149)
Zn (0.1778, 0.9278, 0.2500)
Zn (0.2335, 0.4835, 0.7500)
Zn (0.3850, 0.1701, 0.8098)
Zn (0.3850, 0.5752, 0.2149)
Zn (0.6150, 0.4248, 0.7851)
Zn (0.6150, 0.8299, 0.1902)
Zn (0.7665, 0.5165, 0.2500)
Zn (0.8222, 0.0722, 0.7500)
Zn (0.8603, 0.1701, 0.2851)
Zn (0.8603, 0.5752, 0.6902)
Cu (0.0000, 0.0000, 0.5000)
Cu (0.0000, 0.5000, 0.0000)

Most intense lines, 10° ≤ 2θ ≤ 90°, in order of falling intensity:
two_theta  Rel. int.
34.91  1000
40.65  908
43.46  637
39.26  483
36.25  365
49.67  357
32.29  263
44.29  236
39.03  220
63.76  201
49.30  184
13.57  178


[6]
Starting from DFT lattice parameters and positions (GGA-PBE), the powder X-ray diffraction pattern of BeCu5Si was calculated for a wavelength of 1.5418 Å.

Structure:
abc: 4.2015 4.2015 9.6748
angles: 90.00 90.00 76.90
Positions (direct):
Be (0.0000, 0.0000, 0.0000)
Be (0.0000, 0.0000, 0.5000)
Cu (0.0665, 0.9335, 0.7500)
Cu (0.1536, 0.4324, 0.6094)
Cu (0.1536, 0.4324, 0.8906)
Cu (0.4324, 0.1536, 0.1094)
Cu (0.4324, 0.1536, 0.3906)
Cu (0.5676, 0.8464, 0.6094)
Cu (0.5676, 0.8464, 0.8906)
Cu (0.8464, 0.5676, 0.1094)
Cu (0.8464, 0.5676, 0.3906)
Cu (0.9335, 0.0665, 0.2500)
Si (0.3656, 0.6344, 0.2500)
Si (0.6344, 0.3656, 0.7500)

Most intense lines, 10° ≤ 2θ ≤ 90°, in order of falling intensity:
two_theta  Rel. int.
44.64  1000
45.30  970
46.60  893
32.92  448
27.10  343
44.81  310
84.62  260
53.48  225
37.17  195
23.61  193
43.46  188
53.00  182


[7]
Starting from DFT lattice parameters and positions (GGA-PBE), the powder X-ray diffraction pattern of Tm2Be3Cu12Si was calculated for a wavelength of 1.5418 Å.

Structure:
abc: 7.1569 7.1569 7.1569
angles: 63.34 63.34 63.34
Positions (direct):
Tm (0.1034, 0.1034, 0.1034)
Tm (0.8966, 0.8966, 0.8966)
Be (0.0000, 0.5000, 0.5000)
Be (0.5000, 0.0000, 0.5000)
Be (0.5000, 0.5000, 0.0000)
Cu (0.1207, 0.6248, 0.6248)
Cu (0.1575, 0.1575, 0.6002)
Cu (0.1575, 0.6002, 0.1575)
Cu (0.3752, 0.3752, 0.8793)
Cu (0.3752, 0.8793, 0.3752)
Cu (0.3998, 0.8425, 0.8425)
Cu (0.6002, 0.1575, 0.1575)
Cu (0.6248, 0.1207, 0.6248)
Cu (0.6248, 0.6248, 0.1207)
Cu (0.8425, 0.3998, 0.8425)
Cu (0.8425, 0.8425, 0.3998)
Cu (0.8793, 0.3752, 0.3752)
Si (0.5000, 0.5000, 0.5000)

Most intense lines, 10° ≤ 2θ ≤ 90°, in order of falling intensity:
two_theta  Rel. int.
34.66  1000
48.45  468
51.18  264
14.57  222
29.54  202
38.20  192
60.93  159
27.91  150
36.92  149
81.43  119
38.07  102
39.73  96


[8]
Starting from DFT lattice parameters and positions (GGA-PBE), the powder X-ray diffraction pattern of SmBe2Cu10 was calculated for a wavelength of 1.5418 Å.

Structure:
abc: 8.4015 6.5157 6.2707
angles: 82.13 50.20 47.68
Positions (direct):
Sm (0.0000, 0.0000, 0.0000)
Be (0.0000, 0.5000, 0.0000)
Be (0.5000, 0.0000, 0.5000)
Cu (0.0000, 0.0000, 0.5000)
Cu (0.0073, 0.3521, 0.6479)
Cu (0.2704, 0.4886, 0.5114)
Cu (0.3521, 0.0073, 0.9927)
Cu (0.4886, 0.2704, 0.7296)
Cu (0.5000, 0.5000, 0.0000)
Cu (0.5114, 0.7296, 0.2704)
Cu (0.6479, 0.9927, 0.0073)
Cu (0.7296, 0.5114, 0.4886)
Cu (0.9927, 0.6479, 0.3521)

Most intense lines, 10° ≤ 2θ ≤ 90°, in order of falling intensity:
two_theta  Rel. int.
42.56  1000
37.34  895
44.06  878
43.11  873
43.94  811
38.04  585
34.23  545
30.06  377
44.78  266
80.76  256
79.62  253
14.59  249


[9]
Starting from DFT lattice parameters and positions (GGA-PBE), the powder X-ray diffraction pattern of SmBeCu4 was calculated for a wavelength of 1.5418 Å.

Structure:
abc: 5.1274 5.1274 3.8871
angles: 90.00 90.00 120.00
Positions (direct):
Sm (0.0000, 0.0000, 0.0000)
Be (0.3333, 0.6667, 0.0000)
Cu (0.0099, 0.5049, 0.5000)
Cu (0.4951, 0.5049, 0.5000)
Cu (0.4951, 0.9901, 0.5000)
Cu (0.6667, 0.3333, 0.0000)

Most intense lines, 10° ≤ 2θ ≤ 90°, in order of falling intensity:
two_theta  Rel. int.
30.57  1000
42.23  962
40.64  654
63.63  330
60.04  267
46.74  257
35.00  231
67.74  228
73.94  181
20.00  144
83.62  124
82.09  112


[10]
Starting from DFT lattice parameters and positions (GGA-PBE), the powder X-ray diffraction pattern of Ta4BeCu was calculated for a wavelength of 1.5418 Å.

Structure:
abc: 6.1771 6.1771 4.8840
angles: 90.00 90.00 90.00
Positions (direct):
Ta (0.1460, 0.3289, 0.0000)
Ta (0.1460, 0.6711, 0.5000)
Ta (0.3289, 0.1460, 0.5000)
Ta (0.3289, 0.8540, 0.0000)
Ta (0.6711, 0.1460, 0.0000)
Ta (0.6711, 0.8540, 0.5000)
Ta (0.8540, 0.3289, 0.5000)
Ta (0.8540, 0.6711, 0.0000)
Be (0.0000, 0.0000, 0.2500)
Be (0.0000, 0.0000, 0.7500)
Cu (0.5000, 0.5000, 0.2500)
Cu (0.5000, 0.5000, 0.7500)

Most intense lines, 10° ≤ 2θ ≤ 90°, in order of falling intensity:
two_theta  Rel. int.
37.40  1000
66.69  201
46.49  186
36.80  182
76.12  126
65.13  120
47.46  115
87.32  109
42.41  96
60.71  77
28.91  76
72.41  69


[11]
Starting from DFT lattice parameters and positions (GGA-PBE), the powder X-ray diffraction pattern of TbBe4Cu8 was calculated for a wavelength of 1.5418 Å.

Structure:
abc: 6.2454 6.2454 6.2454
angles: 97.77 97.77 136.84
Positions (direct):
Tb (0.0000, 0.0000, 0.0000)
Be (0.0000, 0.0000, 0.5000)
Be (0.0000, 0.5000, 0.0000)
Be (0.5000, 0.0000, 0.0000)
Be (0.5000, 0.5000, 0.5000)
Cu (0.0000, 0.3498, 0.3498)
Cu (0.0000, 0.6502, 0.6502)
Cu (0.2760, 0.5000, 0.7760)
Cu (0.3498, 0.0000, 0.3498)
Cu (0.5000, 0.2760, 0.7760)
Cu (0.5000, 0.7240, 0.2240)
Cu (0.6502, 0.0000, 0.6502)
Cu (0.7240, 0.5000, 0.2240)

Most intense lines, 10° ≤ 2θ ≤ 90°, in order of falling intensity:
two_theta  Rel. int.
44.39  1000
38.27  494
21.64  455
39.22  433
31.18  273
44.10  270
81.33  232
74.69  197
45.23  195
60.47  163
34.53  142
30.79  100


[12]
Starting from DFT lattice parameters and positions (GGA-PBE), the powder X-ray diffraction pattern of TiBe2CuTc was calculated for a wavelength of 1.5418 Å.

Structure:
abc: 4.2096 4.2096 4.2985
angles: 90.00 90.00 90.00
Positions (direct):
Ti (0.0000, 0.0000, 0.0000)
Be (0.0000, 0.5000, 0.0000)
Be (0.5000, 0.0000, 0.0000)
Cu (0.0000, 0.0000, 0.5000)
Tc (0.5000, 0.5000, 0.5000)

Most intense lines, 10° ≤ 2θ ≤ 90°, in order of falling intensity:
two_theta  Rel. int.
30.02  1000
36.72  500
42.97  454
52.52  394
20.66  344
29.70  307
61.68  293
42.04  243
85.88  176
48.14  157
70.78  151
78.11  142


[13]
Starting from DFT lattice parameters and positions (GGA-PBE), the powder X-ray diffraction pattern of ThBe3Cu10 was calculated for a wavelength of 1.5418 Å.

Structure:
abc: 8.0445 8.0445 8.0445
angles: 60.00 60.00 60.00
Positions (direct):
Th (0.2500, 0.2500, 0.2500)
Th (0.7500, 0.7500, 0.7500)
Be (0.2384, 0.2384, 0.7616)
Be (0.2384, 0.7616, 0.2384)
Be (0.2384, 0.7616, 0.7616)
Be (0.7616, 0.2384, 0.2384)
Be (0.7616, 0.2384, 0.7616)
Be (0.7616, 0.7616, 0.2384)
Cu (0.1091, 0.1091, 0.1091)
Cu (0.1091, 0.1091, 0.6728)
Cu (0.1091, 0.6728, 0.1091)
Cu (0.1576, 0.5000, 0.5000)
Cu (0.1576, 0.5000, 0.8424)
Cu (0.1576, 0.8424, 0.5000)
Cu (0.3272, 0.8909, 0.8909)
Cu (0.5000, 0.1576, 0.5000)
Cu (0.5000, 0.1576, 0.8424)
Cu (0.5000, 0.5000, 0.1576)
Cu (0.5000, 0.5000, 0.8424)
Cu (0.5000, 0.8424, 0.1576)
Cu (0.5000, 0.8424, 0.5000)
Cu (0.6728, 0.1091, 0.1091)
Cu (0.8424, 0.1576, 0.5000)
Cu (0.8424, 0.5000, 0.1576)
Cu (0.8424, 0.5000, 0.5000)
Cu (0.8909, 0.3272, 0.8909)
Cu (0.8909, 0.8909, 0.3272)
Cu (0.8909, 0.8909, 0.8909)

Most intense lines, 10° ≤ 2θ ≤ 90°, in order of falling intensity:
two_theta  Rel. int.
35.28  1000
41.23  653
38.78  543
15.58  385
70.20  365
67.94  296
53.42  280
45.08  276
47.27  268
22.10  154
83.20  148
85.32  82